Li3Cr3SiO8: calculated powder X-ray diffraction pattern (CuKα), based on the GGA+U geometry in Alexandria.
Intensities are scaled so that the largest is 100.

Peak list (8 most intense, 10 to 90 degrees two-theta, most intense first)
| 2θ (°) | d/Å | I/Imax | h k l |
| --- | --- | --- | --- |
| 18.16 | 4.884 | 100 | 0 0 1 |
| 43.36 | 2.087 | 45 | 1 2 1 |
| 43.98 | 2.059 | 21 | 2 0 -2 |
| 36.08 | 2.489 | 20 | 1 2 0 |
| 63.93 | 1.456 | 17 | 0 4 0 |
| 63.03 | 1.475 | 11 | 1 2 -3 |
| 36.24 | 2.479 | 11 | 2 0 -1 |
| 56.89 | 1.619 | 10 | 1 2 2 |

Atomic structure:
Lattice parameters (Å, degrees): 5.048 5.822 5.134 90.00 107.97 90.00
Space group P2/m (No. 10)
Inequivalent atoms, fractional coordinates:
Li 0.000 0.000 0.000
Li 0.500 0.265 0.000
Cr 0.000 0.255 0.500
Cr 0.500 0.000 0.500
Si 0.500 0.500 0.500
O 0.232 0.000 0.726
O 0.270 0.500 0.705
O 0.283 0.267 0.293